Diffraction record for TmMgAu. The XRD peak list is simulated, not measured: it uses DFT lattice parameters and positions (GGA-PBE) and a wavelength of 1.5418 Å.
No peak broadening, texture or thermal motion is included.

Top 12 peaks for 2θ from 15° to 90°, by angle:
2θ 23.44, I = 536; 2θ 25.82, I = 269; 2θ 32.31, I = 705; 2θ 35.15, I = 1000; 2θ 41.20, I = 432; 2θ 42.69, I = 384; 2θ 44.71, I = 224; 2θ 47.95, I = 155; 2θ 55.25, I = 175; 2θ 62.41, I = 257; 2θ 66.11, I = 286; 2θ 76.14, I = 263

Crystal structure
Unit cell a=7.5895 b=7.5895 c=4.0540 alpha=90.00 beta=90.00 gamma=120.00
Space group P-62m (No. 189)
Symmetry-distinct sites (fractional):
Tm1 0.0000 0.5915 0.0000 x3
Mg1 0.0000 0.2495 0.5000 x3
Au1 0.0000 0.0000 0.0000 x1
Au2 0.3333 0.6667 0.5000 x2